Calculated X-ray powder pattern
Compound: Mn2P2O7
Radiation: Cu Kα
Structure: a cell relaxed with GGA+U

```
data_Mn2P2O7
_chemical_formula_sum 'Mn4 P4 O14'
_cell_length_a 4.6039
_cell_length_b 10.4411
_cell_length_c 5.4705
_cell_angle_alpha 90.00
_cell_angle_beta 97.12
_cell_angle_gamma 90.00
_space_group_name_H-M_alt 'P 1 21/c 1'
_space_group_IT_number 14
_space_group_name_Hall '-P 2ybc'
loop_
_atom_site_label
_atom_site_type_symbol
_atom_site_fract_x
_atom_site_fract_y
_atom_site_fract_z
_atom_site_occupancy
Mn1 Mn 0.1009 0.1541 0.4102 1
P1 P 0.3588 0.6094 0.6506 1
O1 O 0.1306 0.6772 0.4661 1
O2 O 0.2140 0.5432 0.8562 1
O3 O 0.3868 0.1966 0.7467 1
O4 O 0.5000 0.0000 0.0000 1
```

Top 8 peaks for 2θ from 10° to 90°, low angle first:
| h k l | two_theta | I_rel |
| --- | --- | --- |
| 1 1 1 | 28.4 | 639 |
| 1 2 -1 | 29.4 | 1000 |
| 0 1 2 | 34.1 | 191 |
| 0 4 0 | 34.4 | 115 |
| 1 0 2 | 40.7 | 104 |
| 1 4 -1 | 42.3 | 184 |
| 2 2 -1 | 44.6 | 98 |
| 2 0 2 | 55.7 | 98 |



Calculated X-ray powder pattern
Compound: MnP2O8
Radiation: Cu Kα
Structure: a cell relaxed with GGA+U

```
data_MnP2O8
_chemical_formula_sum 'Mn2 P4 O16'
_cell_length_a 7.9830
_cell_length_b 6.6526
_cell_length_c 9.7015
_cell_angle_alpha 90.00
_cell_angle_beta 126.94
_cell_angle_gamma 90.00
_space_group_name_H-M_alt 'P 1 c 1'
_space_group_IT_number 7
_space_group_name_Hall 'P -2yc'
loop_
_atom_site_label
_atom_site_type_symbol
_atom_site_fract_x
_atom_site_fract_y
_atom_site_fract_z
_atom_site_occupancy
Mn1 Mn 0.0000 0.2493 0.0000 1
P1 P 0.2640 0.4713 0.8652 1
P2 P 0.7371 0.0283 0.1318 1
O1 O 0.0781 0.3815 0.8460 1
O2 O 0.1897 0.0614 0.0700 1
O3 O 0.2219 0.4267 0.2085 1
O4 O 0.4802 0.4658 0.0249 1
O5 O 0.5248 0.0291 0.9684 1
O6 O 0.7795 0.0673 0.7906 1
O7 O 0.8121 0.4394 0.9326 1
O8 O 0.9254 0.1183 0.1553 1
```

Top 8 peaks for 2θ from 10° to 90°, low angle first:
| h k l | two_theta | I_rel |
| --- | --- | --- |
| 1 0 0 | 13.9 | 261 |
| 0 1 1 | 17.6 | 1000 |
| 1 1 0 | 19.3 | 362 |
| 2 0 -2 | 23.1 | 189 |
| 0 1 2 | 26.6 | 213 |
| 2 1 -2 | 26.8 | 329 |
| 1 2 -2 | 32.6 | 174 |
| 2 2 0 | 39.1 | 114 |



Calculated X-ray powder pattern
Compound: MnPO4
Radiation: Cu Kα
Structure: a cell relaxed with GGA+U

```
data_MnPO4
_chemical_formula_sum 'Mn2 P2 O8'
_cell_length_a 5.0825
_cell_length_b 5.1973
_cell_length_c 6.2049
_cell_angle_alpha 78.81
_cell_angle_beta 88.33
_cell_angle_gamma 72.94
_space_group_name_H-M_alt 'P -1'
_space_group_IT_number 2
_space_group_name_Hall '-P 1'
loop_
_atom_site_label
_atom_site_type_symbol
_atom_site_fract_x
_atom_site_fract_y
_atom_site_fract_z
_atom_site_occupancy
Mn1 Mn 0.1211 0.2598 0.2088 1
P1 P 0.2983 0.1532 0.7144 1
O1 O 0.1377 0.3599 0.8666 1
O2 O 0.1991 0.8994 0.7509 1
O3 O 0.2585 0.3164 0.4753 1
O4 O 0.3926 0.9188 0.2145 1
```

Top 8 peaks for 2θ from 10° to 90°, low angle first:
| h k l | two_theta | I_rel |
| --- | --- | --- |
| 1 0 0 | 18.2 | 290 |
| 1 1 0 | 21.7 | 1000 |
| 0 0 2 | 29.4 | 434 |
| 1 -1 0 | 29.5 | 128 |
| -1 1 1 | 31.1 | 261 |
| 0 1 2 | 31.5 | 157 |
| 2 1 0 | 36.2 | 126 |
| 0 2 0 | 36.9 | 125 |



Calculated X-ray powder pattern
Compound: MnPO4
Radiation: Cu Kα
Structure: a cell relaxed with GGA+U

```
data_MnPO4
_chemical_formula_sum 'Mn18 P18 O72'
_cell_length_a 14.3278
_cell_length_b 14.3278
_cell_length_c 9.3775
_cell_angle_alpha 90.00
_cell_angle_beta 90.00
_cell_angle_gamma 120.00
_space_group_name_H-M_alt 'R 3'
_space_group_IT_number 146
_space_group_name_Hall 'R 3'
loop_
_atom_site_label
_atom_site_type_symbol
_atom_site_fract_x
_atom_site_fract_y
_atom_site_fract_z
_atom_site_occupancy
Mn1 Mn 0.0056 0.2139 0.0000 1
Mn2 Mn 0.1357 0.6806 0.1816 1
P1 P 0.0096 0.2045 0.6642 1
P2 P 0.1370 0.6724 0.8333 1
O1 O 0.0154 0.3135 0.6258 1
O2 O 0.0185 0.6487 0.8252 1
O3 O 0.0590 0.2096 0.8130 1
O4 O 0.0732 0.1814 0.5503 1
O5 O 0.0960 0.1931 0.1273 1
O6 O 0.1819 0.7075 0.9848 1
O7 O 0.2016 0.7641 0.7278 1
O8 O 0.2155 0.4377 0.3280 1
```

Top 8 peaks for 2θ from 10° to 90°, low angle first:
| h k l | two_theta | I_rel |
| --- | --- | --- |
| 0 1 2 | 20.2 | 371 |
| 2 1 1 | 21.2 | 1000 |
| 2 2 0 | 24.9 | 524 |
| 3 -2 2 | 26.9 | 202 |
| 1 1 3 | 31.2 | 440 |
| 1 4 0 | 33.1 | 404 |
| 6 -3 3 | 47.9 | 225 |
| 7 1 3 | 64.0 | 198 |



Calculated X-ray powder pattern
Compound: Mn3TeP2Pb3O14
Radiation: Cu Kα
Structure: a cell relaxed with GGA+U

```
data_Mn3TeP2Pb3O14
_chemical_formula_sum 'Mn3 Te1 P2 Pb3 O14'
_cell_length_a 8.6489
_cell_length_b 8.6489
_cell_length_c 5.4162
_cell_angle_alpha 90.00
_cell_angle_beta 90.00
_cell_angle_gamma 120.00
_space_group_name_H-M_alt 'P 3 2 1'
_space_group_IT_number 150
_space_group_name_Hall 'P 3 2"'
loop_
_atom_site_label
_atom_site_type_symbol
_atom_site_fract_x
_atom_site_fract_y
_atom_site_fract_z
_atom_site_occupancy
Mn1 Mn 0.0000 0.2515 0.0000 1
Te1 Te 0.0000 0.0000 0.5000 1
P1 P 0.3333 0.6667 0.0604 1
Pb1 Pb 0.0000 0.6031 0.5000 1
O1 O 0.0855 0.8737 0.7081 1
O2 O 0.2076 0.4760 0.1703 1
O3 O 0.3333 0.6667 0.7763 1
```

Top 8 peaks for 2θ from 10° to 90°, low angle first:
| h k l | two_theta | I_rel |
| --- | --- | --- |
| 0 0 1 | 16.4 | 309 |
| 1 1 0 | 20.5 | 279 |
| 1 1 1 | 26.4 | 1000 |
| 0 2 1 | 29.0 | 660 |
| 2 1 0 | 31.6 | 210 |
| 1 2 2 | 46.4 | 203 |
| 3 1 1 | 46.8 | 244 |
| 3 2 1 | 56.2 | 221 |



Calculated X-ray powder pattern
Compound: RbMnP2O7
Radiation: Cu Kα
Structure: a cell relaxed with GGA+U

```
data_RbMnP2O7
_chemical_formula_sum 'Rb4 Mn4 P8 O28'
_cell_length_a 7.4897
_cell_length_b 9.8767
_cell_length_c 8.8100
_cell_angle_alpha 90.00
_cell_angle_beta 105.39
_cell_angle_gamma 90.00
_space_group_name_H-M_alt 'P 1 21/c 1'
_space_group_IT_number 14
_space_group_name_Hall '-P 2ybc'
loop_
_atom_site_label
_atom_site_type_symbol
_atom_site_fract_x
_atom_site_fract_y
_atom_site_fract_z
_atom_site_occupancy
Rb1 Rb 0.1813 0.1881 0.0438 1
Mn1 Mn 0.2362 0.6014 0.2565 1
P1 P 0.1324 0.5946 0.8317 1
P2 P 0.4345 0.6312 0.6895 1
O1 O 0.0093 0.5031 0.2732 1
O2 O 0.0859 0.7368 0.7553 1
O3 O 0.1452 0.5905 0.0036 1
O4 O 0.3268 0.6044 0.5218 1
O5 O 0.3309 0.5503 0.8051 1
O6 O 0.3659 0.0763 0.7635 1
O7 O 0.4452 0.7184 0.2440 1
```

Top 8 peaks for 2θ from 10° to 90°, low angle first:
| h k l | two_theta | I_rel |
| --- | --- | --- |
| 1 1 -2 | 23.1 | 267 |
| 1 2 1 | 25.6 | 450 |
| 1 2 -2 | 28.0 | 289 |
| 1 1 2 | 28.5 | 1000 |
| 0 3 1 | 29.1 | 326 |
| 2 1 -2 | 29.3 | 457 |
| 1 3 0 | 29.8 | 650 |
| 2 2 -1 | 30.2 | 981 |